# 1
Rb3Th3HgTe8: simulated X-ray diffraction stick pattern (Cu Ka), based on a cell relaxed with GGA-PBE.
Peak positions follow from Bragg's law for the DFT cell and can differ from measured ones.

Main lines, by intensity (5 to 70 degrees two-theta):
2theta, d (Å), intensity
26.15, 3.408, 100
10.36, 8.540, 52
38.75, 2.324, 38
35.83, 2.506, 35
33.08, 2.708, 21
47.35, 1.920, 20
62.78, 1.480, 16
40.22, 2.242, 13

Structural model:
```
Rb3Th3HgTe8
1.0
8.0446 -4.6499 0.0000
8.0446 4.6499 0.0000
-5.3610 0.0000 8.5397
Rb Th Hg Te
3 3 1 8
Direct
0.0000 0.0000 0.0000
0.0000 0.5000 0.0000
0.5000 0.0000 0.0000
0.0000 0.5000 0.5000
0.5000 0.0000 0.5000
0.5000 0.5000 0.5000
0.0000 0.0000 0.5000
0.2412 0.2412 0.6984
0.2418 0.7153 0.6989
0.2640 0.2640 0.2919
0.2847 0.7582 0.3011
0.7153 0.2418 0.6989
0.7360 0.7360 0.7081
0.7582 0.2847 0.3011
0.7588 0.7588 0.3016
```



# 2
Rb6TlHg4: simulated X-ray diffraction stick pattern (Cu Ka), based on a cell relaxed with GGA-PBE.
Peak positions follow from Bragg's law for the DFT cell and can differ from measured ones.

Main lines, by intensity (5 to 70 degrees two-theta):
2theta, d (Å), intensity
29.72, 3.006, 100
26.35, 3.382, 89
27.58, 3.234, 63
24.73, 3.599, 62
34.82, 2.577, 58
8.49, 10.413, 53
19.76, 4.494, 48
13.09, 6.764, 46

Structural model:
```
Rb6TlHg4
1.0
12.0244 0.0000 0.0000
-6.0122 10.4135 0.0000
0.0000 0.0000 8.8964
Rb Tl Hg
12 2 8
Direct
0.0547 0.5273 0.0000
0.1325 0.2650 0.3189
0.1325 0.8675 0.3189
0.2650 0.1325 0.8189
0.4727 0.5273 0.0000
0.4727 0.9453 0.0000
0.5273 0.0547 0.5000
0.5273 0.4727 0.5000
0.7350 0.8675 0.3189
0.8675 0.1325 0.8189
0.8675 0.7350 0.8189
0.9453 0.4727 0.5000
0.3333 0.6667 0.6065
0.6667 0.3333 0.1065
0.1950 0.3900 0.7200
0.1950 0.8050 0.7200
0.3333 0.6667 0.2607
0.3900 0.1950 0.2200
0.6100 0.8050 0.7200
0.6667 0.3333 0.7607
0.8050 0.1950 0.2200
0.8050 0.6100 0.2200
```



# 3
Rb3TlHg8: simulated X-ray diffraction stick pattern (Cu Ka), based on a cell relaxed with GGA-PBE.
Peak positions follow from Bragg's law for the DFT cell and can differ from measured ones.

Main lines, by intensity (5 to 70 degrees two-theta):
2theta, d (Å), intensity
32.30, 2.772, 100
33.98, 2.638, 88
31.72, 2.821, 52
32.59, 2.748, 49
16.80, 5.277, 42
55.77, 1.648, 35
57.24, 1.609, 33
32.86, 2.726, 32

Structural model:
```
Rb3TlHg8
1.0
3.2187 1.8583 10.9024
-3.2187 1.8583 10.9024
0.0000 -3.7166 10.9024
Rb Tl Hg
3 1 8
Direct
0.0000 0.0000 0.0000
0.1293 0.1293 0.1293
0.6187 0.6187 0.6187
0.4987 0.4987 0.4987
0.0605 0.0605 0.5623
0.0605 0.5623 0.0605
0.0641 0.5623 0.5623
0.3116 0.3116 0.3116
0.5623 0.0605 0.0605
0.5623 0.0641 0.5623
0.5623 0.5623 0.0641
0.8127 0.8127 0.8127
```



# 4
Rb2TlHg3: simulated X-ray diffraction stick pattern (Cu Ka), based on a cell relaxed with GGA-PBE.
Peak positions follow from Bragg's law for the DFT cell and can differ from measured ones.

Main lines, by intensity (5 to 70 degrees two-theta):
2theta, d (Å), intensity
33.44, 2.680, 100
31.85, 2.810, 70
27.94, 3.194, 50
27.56, 3.237, 42
39.85, 2.262, 40
27.34, 3.262, 39
32.67, 2.741, 38
32.21, 2.779, 36

Structural model:
```
Rb2TlHg3
1.0
12.4627 0.0000 0.0000
0.0000 5.6191 0.0000
-5.8994 0.0000 6.3755
Rb Tl Hg
4 2 6
Direct
0.0000 0.0000 0.0000
0.1161 0.0000 0.6177
0.5000 0.5000 0.0000
0.6161 0.5000 0.6177
0.3887 0.0000 0.2150
0.8887 0.5000 0.2150
0.2242 0.5000 0.4096
0.2283 0.5000 0.0495
0.4017 0.0000 0.5910
0.7242 0.0000 0.4096
0.7283 0.0000 0.0495
0.9017 0.5000 0.5910
```



# 5
Rb4TlHg4: simulated X-ray diffraction stick pattern (Cu Ka), based on a cell relaxed with GGA-PBE.
Peak positions follow from Bragg's law for the DFT cell and can differ from measured ones.

Main lines, by intensity (5 to 70 degrees two-theta):
2theta, d (Å), intensity
26.87, 3.317, 100
30.50, 2.931, 77
14.51, 6.105, 49
16.80, 5.276, 45
38.37, 2.346, 35
25.20, 3.534, 29
39.18, 2.299, 24
36.30, 2.475, 22

Structural model:
```
Rb4TlHg4
1.0
10.4896 0.0000 0.0000
0.0000 10.4896 0.0000
0.0000 0.0000 7.5067
Rb Tl Hg
8 2 8
Direct
0.0310 0.6803 0.1018
0.1803 0.9690 0.6018
0.3197 0.5310 0.6018
0.4690 0.8197 0.1018
0.5310 0.1803 0.8982
0.6803 0.4690 0.3982
0.8197 0.0310 0.3982
0.9690 0.3197 0.8982
0.2500 0.2500 0.2500
0.7500 0.7500 0.7500
0.0123 0.3662 0.4128
0.1338 0.0123 0.0872
0.3662 0.4877 0.0872
0.4877 0.1338 0.4128
0.5123 0.8662 0.5872
0.6338 0.5123 0.9128
0.8662 0.9877 0.9128
0.9877 0.6338 0.5872
```



# 6
RbTl2Hg9: simulated X-ray diffraction stick pattern (Cu Ka), based on a cell relaxed with GGA-PBE.
Peak positions follow from Bragg's law for the DFT cell and can differ from measured ones.

Main lines, by intensity (5 to 70 degrees two-theta):
2theta, d (Å), intensity
30.43, 2.938, 100
27.85, 3.203, 67
30.59, 2.922, 40
36.29, 2.475, 39
39.38, 2.288, 39
32.52, 2.753, 39
40.37, 2.234, 23
28.40, 3.142, 22

Structural model:
```
RbTl2Hg9
1.0
6.6562 0.0000 0.0000
1.7727 6.4363 0.0000
0.7608 0.7221 8.8131
Rb Tl Hg
1 2 9
Direct
0.0000 0.0000 0.0000
0.2376 0.5350 0.3354
0.7624 0.4650 0.6646
0.2451 0.0390 0.3482
0.2598 0.7462 0.6603
0.2625 0.4652 0.9748
0.2765 0.2417 0.6618
0.5000 0.0000 0.0000
0.7235 0.7583 0.3382
0.7375 0.5348 0.0252
0.7402 0.2538 0.3397
0.7549 0.9610 0.6518
```